Structure and simulated PXRD pattern of HoTmZr2 (a DFT-relaxed cell (PBE, Alexandria); Cu Kα).
Neutral-atom scattering factors, no anomalous dispersion.

Peak list (10 most intense, 10° ≤ 2θ ≤ 90°, in order of falling intensity)
33.8°, d 2.648, I = 100, hkl 0 1 5
36.6°, d 2.458, I = 81, hkl 1 0 7
33.2°, d 2.698, I = 50, hkl 0 0 12
65.6°, d 1.423, I = 41, hkl 1 1 12
54.8°, d 1.676, I = 36, hkl 1 1 0
31.3°, d 2.857, I = 34, hkl 0 1 2
57.9°, d 1.592, I = 21, hkl 0 1 17
16.4°, d 5.396, I = 20, hkl 0 0 6
30.9°, d 2.891, I = 18, hkl 1 0 1
63.3°, d 1.469, I = 16, hkl 1 0 19

Structure:
```
data_HoTmZr2
_cell_length_a 3.3511
_cell_length_b 3.3511
_cell_length_c 32.3751
_cell_angle_alpha 90.00
_cell_angle_beta 90.00
_cell_angle_gamma 120.00
_space_group_name_H-M_alt 'R 3 m'
_space_group_IT_number 160
_space_group_name_Hall 'R 3 -2"'
loop_
_atom_site_label
_atom_site_type_symbol
_atom_site_fract_x
_atom_site_fract_y
_atom_site_fract_z
_atom_site_occupancy
Ho1 Ho 0.0000 0.0000 0.0000 1
Tm1 Tm 0.0000 0.0000 0.8332 1
Zr1 Zr 0.0000 0.0000 0.2500 1
Zr2 Zr 0.0000 0.0000 0.4168 1
```

---

Structure and simulated PXRD pattern of Ho6TmZr (a DFT-relaxed cell (PBE, Alexandria); Cu Kα).
Neutral-atom scattering factors, no anomalous dispersion.

Peak list (10 most intense, 10° ≤ 2θ ≤ 90°, in order of falling intensity)
32.0°, d 2.799, I = 100, hkl 0 4 0
31.5°, d 2.841, I = 53, hkl 1 1 2
39.0°, d 2.308, I = 39, hkl 1 3 2
30.8°, d 2.902, I = 36, hkl 2 0 1
61.3°, d 1.511, I = 27, hkl 4 2 1
42.4°, d 2.134, I = 25, hkl 0 4 2
27.0°, d 3.298, I = 22, hkl 0 0 2
51.3°, d 1.781, I = 21, hkl 3 1 2
45.0°, d 2.015, I = 20, hkl 2 4 1
65.7°, d 1.421, I = 17, hkl 0 4 4

Structure:
```
data_Ho6TmZr
_cell_length_a 6.4618
_cell_length_b 11.2014
_cell_length_c 6.5955
_cell_angle_alpha 90.00
_cell_angle_beta 90.11
_cell_angle_gamma 90.00
_space_group_name_H-M_alt 'C 1 2/m 1'
_space_group_IT_number 12
_space_group_name_Hall '-C 2y'
loop_
_atom_site_label
_atom_site_type_symbol
_atom_site_fract_x
_atom_site_fract_y
_atom_site_fract_z
_atom_site_occupancy
Ho1 Ho 0.0550 0.0000 0.2437 1
Ho2 Ho 0.2215 0.2777 0.2439 1
Tm1 Tm 0.0000 0.5000 0.5000 1
Zr1 Zr 0.0000 0.5000 0.0000 1
```

---

Structure and simulated PXRD pattern of Ho12Tm2Zr (a DFT-relaxed cell (PBE, Alexandria); Cu Kα).
Neutral-atom scattering factors, no anomalous dispersion.

Peak list (10 most intense, 10° ≤ 2θ ≤ 90°, in order of falling intensity)
32.7°, d 2.736, I = 100, hkl 0 2 0
30.8°, d 2.907, I = 68, hkl 0 1 7
34.1°, d 2.632, I = 62, hkl 0 1 8
31.4°, d 2.846, I = 59, hkl 1 1 2
34.3°, d 2.614, I = 51, hkl 1 1 4
30.3°, d 2.949, I = 48, hkl 1 1 -1
33.2°, d 2.700, I = 37, hkl 1 0 -6
33.3°, d 2.692, I = 32, hkl 1 1 -4
47.3°, d 1.922, I = 28, hkl 1 2 -6
62.9°, d 1.478, I = 23, hkl 2 2 0

Structure:
```
data_Ho12Tm2Zr
_cell_length_a 3.5161
_cell_length_b 5.4720
_cell_length_c 24.0439
_cell_angle_alpha 90.00
_cell_angle_beta 92.55
_cell_angle_gamma 90.00
_space_group_name_H-M_alt 'P 1 2/m 1'
_space_group_IT_number 10
_space_group_name_Hall '-P 2y'
loop_
_atom_site_label
_atom_site_type_symbol
_atom_site_fract_x
_atom_site_fract_y
_atom_site_fract_z
_atom_site_occupancy
Ho1 Ho 0.1448 0.0000 0.1974 1
Ho2 Ho 0.1966 0.0000 0.3294 1
Ho3 Ho 0.2261 0.5000 0.4215 1
Ho4 Ho 0.2470 0.0000 0.0594 1
Ho5 Ho 0.2668 0.0000 0.5555 1
Ho6 Ho 0.3537 0.5000 0.8762 1
Tm1 Tm 0.3224 0.5000 0.7249 1
Zr1 Zr 0.0000 0.5000 0.0000 1
```

---

Structure and simulated PXRD pattern of Ho6Tm12Zr (a DFT-relaxed cell (PBE, Alexandria); Cu Kα).
Neutral-atom scattering factors, no anomalous dispersion.

Peak list (10 most intense, 10° ≤ 2θ ≤ 90°, in order of falling intensity)
32.5°, d 2.752, I = 100, hkl 4 -3 1
33.7°, d 2.663, I = 64, hkl 2 1 4
31.4°, d 2.853, I = 42, hkl 0 1 5
34.2°, d 2.621, I = 26, hkl 3 1 2
32.1°, d 2.785, I = 23, hkl 0 3 3
57.0°, d 1.617, I = 18, hkl 2 5 0
46.2°, d 1.966, I = 16, hkl 3 2 4
35.7°, d 2.513, I = 16, hkl 4 -2 3
59.7°, d 1.548, I = 14, hkl 1 5 5
23.6°, d 3.776, I = 12, hkl 2 -1 3

Structure:
```
data_Ho6Tm12Zr
_cell_length_a 11.6594
_cell_length_b 11.6594
_cell_length_c 14.8707
_cell_angle_alpha 90.00
_cell_angle_beta 90.00
_cell_angle_gamma 120.00
_space_group_name_H-M_alt 'R -3'
_space_group_IT_number 148
_space_group_name_Hall '-R 3'
loop_
_atom_site_label
_atom_site_type_symbol
_atom_site_fract_x
_atom_site_fract_y
_atom_site_fract_z
_atom_site_occupancy
Ho1 Ho 0.0169 0.5900 0.1802 1
Tm1 Tm 0.0139 0.1763 0.6875 1
Tm2 Tm 0.0478 0.1916 0.9139 1
Zr1 Zr 0.0000 0.0000 0.5000 1
```

---

Structure and simulated PXRD pattern of HoV5 (a DFT-relaxed cell (PBE, Alexandria); Cu Kα).
Neutral-atom scattering factors, no anomalous dispersion.

Peak list (10 most intense, 10° ≤ 2θ ≤ 90°, in order of falling intensity)
40.4°, d 2.233, I = 100, hkl 1 3 1
39.4°, d 2.290, I = 28, hkl 2 0 0
40.6°, d 2.223, I = 21, hkl 0 6 0
20.5°, d 4.331, I = 17, hkl 1 1 0
72.0°, d 1.311, I = 16, hkl 3 3 1
26.7°, d 3.335, I = 15, hkl 0 4 0
35.4°, d 2.536, I = 15, hkl 1 1 1
13.3°, d 6.670, I = 15, hkl 0 2 0
57.8°, d 1.595, I = 14, hkl 2 6 0
28.0°, d 3.190, I = 12, hkl 1 3 0

Structure:
```
data_HoV5
_cell_length_a 4.5793
_cell_length_b 13.3395
_cell_length_c 3.1278
_cell_angle_alpha 90.00
_cell_angle_beta 90.00
_cell_angle_gamma 90.00
_space_group_name_H-M_alt 'C m m m'
_space_group_IT_number 65
_space_group_name_Hall '-C 2 2'
loop_
_atom_site_label
_atom_site_type_symbol
_atom_site_fract_x
_atom_site_fract_y
_atom_site_fract_z
_atom_site_occupancy
Ho1 Ho 0.0000 0.0000 0.0000 1
V1 V 0.0000 0.1910 0.5000 1
V2 V 0.0000 0.3295 0.0000 1
V3 V 0.0000 0.5000 0.5000 1
```

---

Structure and simulated PXRD pattern of Y3Ho (a DFT-relaxed cell (PBE, Alexandria); Cu Kα).
Neutral-atom scattering factors, no anomalous dispersion.

Peak list (10 most intense, 10° ≤ 2θ ≤ 90°, in order of falling intensity)
32.5°, d 2.751, I = 100, hkl 0 2 2
28.3°, d 3.150, I = 26, hkl 1 0 1
31.7°, d 2.825, I = 24, hkl 0 4 0
60.5°, d 1.529, I = 22, hkl 2 4 0
57.0°, d 1.616, I = 20, hkl 0 6 2
50.2°, d 1.819, I = 19, hkl 2 0 0
43.0°, d 2.103, I = 16, hkl 1 4 1
61.1°, d 1.517, I = 16, hkl 2 2 2
82.8°, d 1.165, I = 9, hkl 3 2 1
87.4°, d 1.115, I = 8, hkl 2 8 0

Structure:
```
data_Y3Ho
_cell_length_a 3.6399
_cell_length_b 11.2981
_cell_length_c 6.2967
_cell_angle_alpha 90.00
_cell_angle_beta 90.00
_cell_angle_gamma 90.00
_space_group_name_H-M_alt 'I m m 2'
_space_group_IT_number 44
_space_group_name_Hall 'I 2 -2'
loop_
_atom_site_label
_atom_site_type_symbol
_atom_site_fract_x
_atom_site_fract_y
_atom_site_fract_z
_atom_site_occupancy
Y1 Y 0.0000 0.0000 0.0000 1
Y2 Y 0.0000 0.2488 0.6665 1
Ho1 Ho 0.0000 0.5000 0.9984 1
```

---

Structure and simulated PXRD pattern of Y3Ho5 (a DFT-relaxed cell (PBE, Alexandria); Cu Kα).
Neutral-atom scattering factors, no anomalous dispersion.

Peak list (10 most intense, 10° ≤ 2θ ≤ 90°, in order of falling intensity)
32.7°, d 2.739, I = 100, hkl 1 1 2
28.4°, d 3.139, I = 24, hkl 0 0 4
31.9°, d 2.805, I = 23, hkl 0 2 0
60.9°, d 1.522, I = 22, hkl 2 2 0
57.3°, d 1.607, I = 20, hkl 1 3 2
50.4°, d 1.812, I = 20, hkl 2 0 0
61.3°, d 1.511, I = 16, hkl 0 1 8
43.3°, d 2.092, I = 15, hkl 0 2 4
83.2°, d 1.161, I = 14, hkl 2 1 8
88.1°, d 1.109, I = 8, hkl 2 4 0

Structure:
```
data_Y3Ho5
_cell_length_a 3.6250
_cell_length_b 5.6108
_cell_length_c 12.5509
_cell_angle_alpha 90.00
_cell_angle_beta 90.00
_cell_angle_gamma 90.00
_space_group_name_H-M_alt 'P m m 2'
_space_group_IT_number 25
_space_group_name_Hall 'P 2 -2'
loop_
_atom_site_label
_atom_site_type_symbol
_atom_site_fract_x
_atom_site_fract_y
_atom_site_fract_z
_atom_site_occupancy
Y1 Y 0.0000 0.0000 0.0000 1
Y2 Y 0.0000 0.5000 0.1686 1
Y3 Y 0.5000 0.0000 0.2536 1
Ho1 Ho 0.0000 0.0000 0.5029 1
Ho2 Ho 0.0000 0.5000 0.6692 1
Ho3 Ho 0.5000 0.0000 0.7501 1
Ho4 Ho 0.5000 0.5000 0.4210 1
Ho5 Ho 0.5000 0.5000 0.9167 1
```

---

Structure and simulated PXRD pattern of Y7Ho2 (a DFT-relaxed cell (PBE, Alexandria); Cu Kα).
Neutral-atom scattering factors, no anomalous dispersion.

Peak list (10 most intense, 10° ≤ 2θ ≤ 90°, in order of falling intensity)
30.7°, d 2.908, I = 100, hkl 1 1 1
35.6°, d 2.519, I = 51, hkl 2 -1 2
61.0°, d 1.519, I = 41, hkl 3 0 3
51.3°, d 1.781, I = 35, hkl 3 0 0
86.4°, d 1.126, I = 15, hkl 3 0 6
64.1°, d 1.454, I = 9, hkl 2 2 2
83.6°, d 1.156, I = 8, hkl 2 2 5
83.7°, d 1.155, I = 8, hkl 4 1 1
10.1°, d 8.734, I = 7, hkl 0 0 1
75.5°, d 1.259, I = 5, hkl 4 -2 4

Structure:
```
data_Y7Ho2
_cell_length_a 6.1663
_cell_length_b 6.1663
_cell_length_c 8.7344
_cell_angle_alpha 90.00
_cell_angle_beta 90.00
_cell_angle_gamma 120.00
_space_group_name_H-M_alt 'P -3 1 m'
_space_group_IT_number 162
_space_group_name_Hall '-P 3 2'
loop_
_atom_site_label
_atom_site_type_symbol
_atom_site_fract_x
_atom_site_fract_y
_atom_site_fract_z
_atom_site_occupancy
Y1 Y 0.0000 0.0000 0.0000 1
Y2 Y 0.0000 0.3341 0.6676 1
Ho1 Ho 0.3333 0.6667 0.0000 1
```